This entry pairs a crystal structure of La4MgGa2Fe2O12 with its simulated powder XRD pattern. Radiation: Cu Kα X-rays. Structure: DFT lattice parameters and positions (PBE+U).

Structural model:
```
La4MgGa2Fe2O12
1.0
5.587 0.000 0.000
-0.074 6.381 0.000
-0.343 -0.397 8.264
La Mg Ga Fe O
4 1 2 2 12
Direct
0.000 0.000 0.000
0.022 0.751 0.535
0.484 0.248 0.578
0.584 0.464 0.030
0.119 0.593 0.167
0.006 0.257 0.363
0.505 0.802 0.741
0.018 0.387 0.787
0.533 0.891 0.284
0.154 0.358 0.010
0.209 0.026 0.381
0.242 0.476 0.364
0.252 0.991 0.742
0.322 0.544 0.725
0.343 0.792 0.082
0.629 0.876 0.533
0.731 0.219 0.838
0.750 0.195 0.219
0.789 0.717 0.840
0.817 0.715 0.213
0.883 0.372 0.557
```

The 10 most intense peaks (10° ≤ 2θ ≤ 90°), by angle:
d (Å)  Position (°2θ)  intensity
3.821  23.3  38
3.764  23.6  37
3.633  24.5  27
3.025  29.5  70
2.955  30.2  100
2.927  30.5  30
2.847  31.4  50
2.791  32.1  50
2.368  38.0  30
2.048  44.2  29